[1]
This entry pairs a crystal structure of Zr4Mn with its simulated PXRD pattern. Radiation: Cu Kα (weighted mean of Kα1 and Kα2). Structure: a crystal structure in Alexandria, relaxed with PBE.

Structural model:
Unit cell a=7.903 b=7.903 c=3.276 alpha=90.00 beta=90.00 gamma=90.00
Space group I4/m (No. 87)
Inequivalent atoms, fractional coordinates:
1 Zr 0.083 0.269 0.000
2 Mn 0.000 0.000 0.500

Most intense lines, 2θ from 15° to 90°, by intensity:
| two_theta | intensity | (hkl) |
| --- | --- | --- |
| 37.43 | 100 | 2 1 1 |
| 35.93 | 58 | 1 3 0 |
| 65.57 | 25 | 3 4 1 |
| 68.48 | 17 | 1 3 2 |
| 51.73 | 15 | 4 2 0 |
| 55.54 | 9 | 1 4 1 |
| 56.14 | 8 | 0 0 2 |
| 29.51 | 8 | 1 0 1 |
| 79.83 | 8 | 4 2 2 |
| 32.03 | 7 | 2 2 0 |
| 50.07 | 6 | 3 2 1 |
| 69.33 | 5 | 3 5 0 |

=====

[2]
This entry pairs a crystal structure of Zr2Mn with its simulated PXRD pattern. Radiation: Cu Kα (weighted mean of Kα1 and Kα2). Structure: a crystal structure in Alexandria, relaxed with PBE.

Structural model:
Unit cell a=11.055 b=3.136 c=6.844 alpha=90.00 beta=102.92 gamma=90.00
Space group Cm (No. 8)
Inequivalent atoms, fractional coordinates:
1 Zr 0.000 0.000 0.000
2 Zr 0.013 0.000 0.489
3 Zr 0.222 0.500 0.279
4 Zr 0.308 0.000 0.677
5 Mn 0.131 0.500 0.804
6 Mn 0.277 0.000 0.014

Most intense lines, 2θ from 15° to 90°, by intensity:
| two_theta | intensity | (hkl) |
| --- | --- | --- |
| 39.03 | 100 | 1 1 -2 |
| 38.10 | 98 | 3 1 0 |
| 34.65 | 59 | 2 0 2 |
| 33.26 | 35 | 4 0 0 |
| 37.95 | 30 | 4 0 -2 |
| 53.81 | 26 | 5 1 -2 |
| 58.90 | 21 | 0 2 0 |
| 42.43 | 20 | 3 1 1 |
| 31.83 | 20 | 1 1 -1 |
| 28.14 | 19 | 2 0 -2 |
| 33.41 | 18 | 1 1 1 |
| 40.27 | 18 | 2 0 -3 |